No. 1
# TaSe3
Simulated powder XRD pattern, Cu Kα (weighted mean of Kα1 and Kα2). Input: a DFT-relaxed cell (PBE, the Materials Project).
Intensities are scaled so that the largest is 100.

Crystal structure
```
TaSe3
1.0
10.375 0.000 0.000
0.000 3.519 0.000
-3.603 0.000 10.284
Ta Se
4 12
Direct
0.042 0.250 0.333
0.372 0.250 0.810
0.628 0.750 0.190
0.958 0.750 0.667
0.068 0.750 0.163
0.118 0.250 0.602
0.205 0.750 0.868
0.247 0.750 0.394
0.411 0.750 0.644
0.430 0.250 0.081
0.570 0.750 0.919
0.589 0.250 0.356
0.753 0.250 0.606
0.795 0.250 0.132
0.882 0.750 0.398
0.932 0.250 0.837
```

The 8 most intense peaks (2θ from 15° to 90°), low angle first:
17.3 deg, rel. 77.5
30.8 deg, rel. 100.0
32.8 deg, rel. 54.5
36.9 deg, rel. 31.7
37.6 deg, rel. 31.9
43.6 deg, rel. 63.5
45.1 deg, rel. 65.1
52.0 deg, rel. 35.8

=====

No. 2
# TaTlSe3
Simulated powder XRD pattern, Cu Kα (weighted mean of Kα1 and Kα2). Input: a DFT-relaxed cell (PBE, the Materials Project).
Intensities are scaled so that the largest is 100.

Crystal structure
```
TaTlSe3
1.0
9.842 0.000 0.000
0.000 3.651 0.000
0.000 0.000 15.346
Ta Tl Se
4 4 12
Direct
0.158 0.250 0.072
0.342 0.750 0.572
0.658 0.250 0.428
0.842 0.750 0.928
0.001 0.250 0.672
0.499 0.750 0.172
0.501 0.250 0.828
0.999 0.750 0.328
0.029 0.250 0.904
0.189 0.250 0.502
0.244 0.250 0.219
0.256 0.750 0.719
0.311 0.750 0.002
0.471 0.750 0.404
0.529 0.250 0.596
0.689 0.250 0.998
0.744 0.250 0.281
0.756 0.750 0.781
0.811 0.750 0.498
0.971 0.750 0.096
```

The 8 most intense peaks (2θ from 15° to 90°), low angle first:
19.6 deg, rel. 39.9
28.6 deg, rel. 33.2
29.5 deg, rel. 29.0
30.5 deg, rel. 74.2
31.1 deg, rel. 100.0
38.3 deg, rel. 27.4
44.0 deg, rel. 57.3
50.0 deg, rel. 27.2

=====

No. 3
# Ta3VSe6
Simulated powder XRD pattern, Cu Kα (weighted mean of Kα1 and Kα2). Input: a DFT-relaxed cell (PBE, the Materials Project).
Intensities are scaled so that the largest is 100.

Crystal structure
```
Ta3VSe6
1.0
6.011 0.000 0.000
-3.005 5.205 0.000
0.000 0.000 12.798
Ta V Se
6 2 12
Direct
0.000 0.000 0.000
0.000 0.000 0.500
0.333 0.667 0.001
0.333 0.667 0.499
0.667 0.333 0.501
0.667 0.333 0.999
0.333 0.667 0.750
0.667 0.333 0.250
0.002 0.334 0.368
0.002 0.668 0.132
0.332 0.334 0.132
0.332 0.998 0.368
0.334 0.002 0.632
0.334 0.332 0.868
0.666 0.668 0.368
0.666 0.998 0.132
0.668 0.002 0.868
0.668 0.666 0.632
0.998 0.332 0.632
0.998 0.666 0.868
```

The 8 most intense peaks (2θ from 15° to 90°), low angle first:
29.7 deg, rel. 21.3
30.6 deg, rel. 26.5
32.9 deg, rel. 70.1
36.6 deg, rel. 22.2
41.2 deg, rel. 100.0
52.8 deg, rel. 40.6
69.1 deg, rel. 21.6
81.9 deg, rel. 21.6

=====

No. 4
# Tb3Se
Simulated powder XRD pattern, Cu Kα (weighted mean of Kα1 and Kα2). Input: a DFT-relaxed cell (PBE, the Materials Project).
Intensities are scaled so that the largest is 100.

Crystal structure
```
Tb3Se
1.0
4.692 0.000 0.000
0.000 4.692 0.000
0.000 0.000 4.692
Tb Se
3 1
Direct
0.000 0.000 0.500
0.000 0.500 0.000
0.500 0.000 0.000
0.500 0.500 0.500
```

The 8 most intense peaks (2θ from 15° to 90°), low angle first:
18.9 deg, rel. 5.7
26.9 deg, rel. 5.0
33.1 deg, rel. 100.0
38.4 deg, rel. 50.1
55.4 deg, rel. 34.6
66.0 deg, rel. 40.6
69.4 deg, rel. 11.7
82.2 deg, rel. 5.6

=====

No. 5
# TbSe2
Simulated powder XRD pattern, Cu Kα (weighted mean of Kα1 and Kα2). Input: a DFT-relaxed cell (PBE, the Materials Project).
Intensities are scaled so that the largest is 100.

Crystal structure
```
TbSe2
1.0
4.086 0.000 0.000
0.000 4.086 0.000
0.000 0.000 8.387
Tb Se
2 4
Direct
0.250 0.250 0.226
0.750 0.750 0.774
0.250 0.250 0.869
0.250 0.750 0.500
0.750 0.250 0.500
0.750 0.750 0.131
```

The 8 most intense peaks (2θ from 15° to 90°), low angle first:
24.2 deg, rel. 53.6
31.0 deg, rel. 38.3
32.8 deg, rel. 66.3
37.8 deg, rel. 100.0
39.0 deg, rel. 60.7
44.3 deg, rel. 57.5
60.5 deg, rel. 33.4
77.2 deg, rel. 39.3

=====

No. 6
# Tb3Se4
Simulated powder XRD pattern, Cu Kα (weighted mean of Kα1 and Kα2). Input: a DFT-relaxed cell (PBE, the Materials Project).
Intensities are scaled so that the largest is 100.

Crystal structure
```
Tb3Se4
1.0
-4.362 4.362 4.362
4.362 -4.362 4.362
4.362 4.362 -4.362
Tb Se
6 8
Direct
0.125 0.750 0.875
0.250 0.625 0.375
0.375 0.250 0.625
0.625 0.375 0.250
0.750 0.875 0.125
0.875 0.125 0.750
0.000 0.355 0.500
0.000 0.855 0.500
0.145 0.145 0.145
0.355 0.500 0.000
0.500 0.000 0.355
0.500 0.000 0.855
0.645 0.645 0.645
0.855 0.500 0.000
```

The 8 most intense peaks (2θ from 15° to 90°), low angle first:
25.0 deg, rel. 33.0
32.5 deg, rel. 100.0
38.6 deg, rel. 62.8
46.6 deg, rel. 25.6
49.0 deg, rel. 17.1
53.6 deg, rel. 20.0
66.0 deg, rel. 31.0
81.0 deg, rel. 21.3

=====

No. 7
# Tb2Se3
Simulated powder XRD pattern, Cu Kα (weighted mean of Kα1 and Kα2). Input: a DFT-relaxed cell (PBE, the Materials Project).
Intensities are scaled so that the largest is 100.

Crystal structure
```
Tb2Se3
1.0
11.212 0.000 0.000
0.000 4.050 0.000
0.000 0.000 11.024
Tb Se
8 12
Direct
0.013 0.250 0.187
0.194 0.250 0.501
0.306 0.750 0.001
0.487 0.750 0.687
0.513 0.250 0.313
0.694 0.250 0.999
0.806 0.750 0.499
0.987 0.750 0.813
0.044 0.750 0.375
0.119 0.250 0.944
0.227 0.750 0.696
0.273 0.250 0.196
0.381 0.750 0.444
0.456 0.250 0.875
0.544 0.750 0.125
0.619 0.250 0.556
0.727 0.750 0.804
0.773 0.250 0.304
0.881 0.750 0.056
0.956 0.250 0.625
```

The 8 most intense peaks (2θ from 15° to 90°), low angle first:
22.6 deg, rel. 81.9
28.5 deg, rel. 70.2
31.7 deg, rel. 68.6
32.9 deg, rel. 83.4
33.6 deg, rel. 61.8
33.9 deg, rel. 100.0
36.6 deg, rel. 79.4
44.8 deg, rel. 75.9

=====

No. 8
# Tb2Se3
Simulated powder XRD pattern, Cu Kα (weighted mean of Kα1 and Kα2). Input: a DFT-relaxed cell (PBE, the Materials Project).
Intensities are scaled so that the largest is 100.

Crystal structure
```
Tb2Se3
1.0
-4.364 4.364 13.081
4.364 -4.364 13.081
4.364 4.364 -13.081
Tb Se
16 24
Direct
0.048 0.156 0.625
0.167 0.167 0.000
0.173 0.782 0.875
0.218 0.094 0.392
0.256 0.625 0.131
0.375 0.506 0.631
0.494 0.125 0.869
0.532 0.423 0.375
0.577 0.952 0.108
0.583 0.083 0.500
0.702 0.827 0.608
0.833 0.833 0.000
0.844 0.468 0.892
0.875 0.744 0.369
0.906 0.298 0.125
0.917 0.417 0.500
0.002 0.756 0.891
0.075 0.464 0.247
0.172 0.925 0.389
0.188 0.442 0.096
0.192 0.438 0.596
0.214 0.325 0.747
0.217 0.828 0.753
0.244 0.134 0.246
0.347 0.092 0.904
0.403 0.808 0.246
0.506 0.252 0.391
0.533 0.786 0.111
0.536 0.783 0.611
0.558 0.653 0.746
0.562 0.158 0.754
0.578 0.467 0.253
0.675 0.422 0.889
0.748 0.138 0.254
0.842 0.597 0.404
0.862 0.116 0.609
0.866 0.112 0.109
0.884 0.494 0.746
0.888 0.998 0.754
0.908 0.812 0.254
```

The 8 most intense peaks (2θ from 15° to 90°), low angle first:
25.0 deg, rel. 26.3
32.4 deg, rel. 100.0
38.6 deg, rel. 63.6
46.5 deg, rel. 22.9
49.0 deg, rel. 15.5
53.6 deg, rel. 19.5
66.0 deg, rel. 29.0
81.0 deg, rel. 19.5

=====

No. 9
# TiTeSe
Simulated powder XRD pattern, Cu Kα (weighted mean of Kα1 and Kα2). Input: a DFT-relaxed cell (PBE, the Materials Project).
Intensities are scaled so that the largest is 100.

Crystal structure
```
TiTeSe
1.0
3.666 0.000 0.000
-1.833 3.174 0.000
0.000 0.000 6.562
Ti Te Se
1 1 1
Direct
0.000 0.000 0.000
0.667 0.333 0.720
0.333 0.667 0.213
```

The 8 most intense peaks (2θ from 15° to 90°), low angle first:
27.2 deg, rel. 18.2
31.3 deg, rel. 100.0
39.5 deg, rel. 35.3
49.7 deg, rel. 24.5
50.7 deg, rel. 24.5
57.6 deg, rel. 13.5
60.0 deg, rel. 15.1
81.6 deg, rel. 12.4